# 1
NdTlHgSe3: simulated powder diffractogram (λ = 1.5418 Å (Cu Kα)), based on a DFT-relaxed cell (GGA-PBE, OQMD).
Kinematic intensities with the Lorentz-polarization factor, no thermal factor.

Crystal structure
```
NdTlHgSe3
1.0
14.4540 0.0000 0.0000
0.0000 4.3307 0.0000
0.0000 0.0000 11.4928
Nd Tl Hg Se
4 4 4 12
direct
0.0297 0.2500 0.1564
0.4703 0.7500 0.6564
0.5297 0.2500 0.3436
0.9703 0.7500 0.8436
0.2433 0.2500 0.4551
0.2567 0.7500 0.9551
0.7433 0.2500 0.0449
0.7567 0.7500 0.5449
0.0205 0.7500 0.3929
0.4795 0.2500 0.8929
0.5205 0.7500 0.1071
0.9795 0.2500 0.6071
0.0944 0.7500 0.6219
0.0980 0.2500 0.9193
0.1571 0.7500 0.2367
0.3429 0.2500 0.7367
0.4020 0.7500 0.4193
0.4056 0.2500 0.1219
0.5944 0.7500 0.8781
0.5980 0.2500 0.5807
0.6571 0.7500 0.2633
0.8429 0.2500 0.7633
0.9020 0.7500 0.0807
0.9056 0.2500 0.3781
```

Main lines, by angle (15 to 90 degrees two-theta):
2θ = 26.50°, I = 25.9
2θ = 28.79°, I = 100.0
2θ = 31.82°, I = 87.9
2θ = 33.59°, I = 78.5
2θ = 40.66°, I = 37.7
2θ = 41.71°, I = 33.1

***

# 2
PH2AuO5: simulated powder diffractogram (λ = 1.5418 Å (Cu Kα)), based on a DFT-relaxed cell (GGA-PBE, OQMD).
Kinematic intensities with the Lorentz-polarization factor, no thermal factor.

Crystal structure
```
PH2AuO5
1.0
3.5855 -3.8478 0.0000
3.5855 3.8478 0.0000
-2.9047 0.0000 6.7668
P H Au O
2 4 2 10
direct
0.0776 0.9224 0.7500
0.9224 0.0776 0.2500
0.3862 0.4357 0.7899
0.4357 0.3862 0.2899
0.5643 0.6138 0.7101
0.6138 0.5643 0.2101
0.0000 0.5000 0.0000
0.5000 0.0000 0.5000
0.1587 0.2301 0.8307
0.1785 0.7920 0.9158
0.2080 0.8215 0.5842
0.2301 0.1587 0.3307
0.4522 0.5478 0.2500
0.5478 0.4522 0.7500
0.7699 0.8413 0.6693
0.7920 0.1785 0.4158
0.8215 0.2080 0.0842
0.8413 0.7699 0.1693
```

Main lines, by angle (15 to 90 degrees two-theta):
2θ = 18.63°, I = 100.0
2θ = 23.12°, I = 23.0
2θ = 25.10°, I = 82.8
2θ = 29.45°, I = 27.9
2θ = 35.32°, I = 44.6
2θ = 39.58°, I = 24.0

***

# 3
SrCo2AsP: simulated powder diffractogram (λ = 1.5418 Å (Cu Kα)), based on a DFT-relaxed cell (GGA-PBE, OQMD).
Kinematic intensities with the Lorentz-polarization factor, no thermal factor.

Crystal structure
```
SrCo2AsP
1.0
3.8431 0.0000 0.0000
0.0000 3.8431 0.0000
0.0000 0.0000 11.6247
Sr Co As P
2 4 2 2
direct
0.0000 0.0000 0.0000
0.5000 0.5000 0.5000
0.0000 0.5000 0.2398
0.0000 0.5000 0.7398
0.5000 0.0000 0.2398
0.5000 0.0000 0.7398
0.0000 0.0000 0.3531
0.5000 0.5000 0.8531
0.0000 0.0000 0.6477
0.5000 0.5000 0.1477
```

Main lines, by angle (15 to 90 degrees two-theta):
2θ = 15.24°, I = 24.1
2θ = 32.82°, I = 100.0
2θ = 36.50°, I = 76.3
2θ = 47.31°, I = 49.4
2θ = 58.51°, I = 39.9
2θ = 58.77°, I = 36.1

***

# 4
CuP4: simulated powder diffractogram (λ = 1.5418 Å (Cu Kα)), based on a DFT-relaxed cell (GGA-PBE, OQMD).
Kinematic intensities with the Lorentz-polarization factor, no thermal factor.

Crystal structure
```
CuP4
1.0
2.6793 -5.4840 0.0000
2.6793 5.4840 0.0000
-0.6733 0.0000 11.4599
Cu P
4 16
direct
0.0000 0.5000 0.5000
0.0855 0.9145 0.7500
0.5000 0.0000 0.0000
0.9145 0.0855 0.2500
0.0346 0.8615 0.9576
0.0580 0.5644 0.2824
0.1385 0.9654 0.5424
0.2444 0.3799 0.7856
0.3322 0.5239 0.9772
0.3799 0.2444 0.2856
0.4356 0.9420 0.2176
0.4761 0.6678 0.5228
0.5239 0.3322 0.4772
0.5644 0.0580 0.7824
0.6201 0.7556 0.7144
0.6678 0.4761 0.0228
0.7556 0.6201 0.2144
0.8615 0.0346 0.4576
0.9420 0.4356 0.7176
0.9654 0.1385 0.0424
```

Main lines, by angle (15 to 90 degrees two-theta):
2θ = 19.64°, I = 28.4
2θ = 30.88°, I = 100.0
2θ = 31.22°, I = 58.3
2θ = 37.40°, I = 23.6
2θ = 49.89°, I = 21.1
2θ = 50.81°, I = 44.7